Entry 1:
For Dy3Er4Tm4, the GGA-PBE geometry in Alexandria gives the computed XRD peak list in this record (Cu Kα X-rays).
Neutral-atom scattering factors, no anomalous dispersion.

a b c (Å): 3.449 5.529 17.865
angles (deg): 81.13 84.48 89.99
Sites, in units of the cell vectors:
Dy (0.000, 0.000, 0.000)
Dy (0.136, 0.636, 0.727)
Dy (0.864, 0.364, 0.273)
Er (0.266, 0.267, 0.467)
Er (0.409, 0.910, 0.181)
Er (0.591, 0.090, 0.819)
Er (0.734, 0.733, 0.533)
Tm (0.320, 0.819, 0.362)
Tm (0.455, 0.455, 0.091)
Tm (0.545, 0.545, 0.909)
Tm (0.680, 0.181, 0.638)

Principal peaks in the range 15° ≤ 2θ ≤ 90°, low angle first:
31.47 deg, I = 26; 32.24 deg, I = 58; 32.37 deg, I = 100; 45.78 deg, I = 19; 57.70 deg, I = 23; 63.59 deg, I = 29

Entry 2:
For Sr3TlPt8, the GGA-PBE geometry in Alexandria gives the computed XRD peak list in this record (Cu Kα X-rays).
Neutral-atom scattering factors, no anomalous dispersion.

a b c (Å): 9.569 9.569 9.569
angles (deg): 33.72 33.72 33.72
Sites, in units of the cell vectors:
Sr (0.000, 0.000, 0.000)
Sr (0.127, 0.127, 0.127)
Sr (0.621, 0.621, 0.621)
Tl (0.499, 0.499, 0.499)
Pt (0.062, 0.062, 0.562)
Pt (0.062, 0.562, 0.062)
Pt (0.064, 0.562, 0.562)
Pt (0.312, 0.312, 0.312)
Pt (0.562, 0.062, 0.062)
Pt (0.562, 0.064, 0.562)
Pt (0.562, 0.562, 0.064)
Pt (0.813, 0.813, 0.813)

Principal peaks in the range 15° ≤ 2θ ≤ 90°, low angle first:
19.62 deg, I = 38; 38.06 deg, I = 100; 38.18 deg, I = 33; 39.81 deg, I = 58; 61.45 deg, I = 33; 67.51 deg, I = 21

Entry 3:
For K2ZrI5, the GGA-PBE geometry in Alexandria gives the computed XRD peak list in this record (Cu Kα X-rays).
Neutral-atom scattering factors, no anomalous dispersion.

a b c (Å): 7.999 7.999 9.013
angles (deg): 55.71 55.71 68.58
Sites, in units of the cell vectors:
K (0.000, 0.000, 0.500)
K (0.500, 0.500, 0.000)
Zr (0.309, 0.309, 0.691)
I (0.018, 0.460, 0.982)
I (0.019, 0.462, 0.538)
I (0.460, 0.018, 0.540)
I (0.462, 0.019, 0.981)
I (0.588, 0.588, 0.412)

Principal peaks in the range 15° ≤ 2θ ≤ 90°, low angle first:
18.35 deg, I = 44; 27.05 deg, I = 100; 28.00 deg, I = 87; 33.69 deg, I = 28; 37.16 deg, I = 35; 42.43 deg, I = 35

Entry 4:
For Si3BPd, the GGA-PBE geometry in Alexandria gives the computed XRD peak list in this record (Cu Kα X-rays).
Neutral-atom scattering factors, no anomalous dispersion.

a b c (Å): 4.108 4.108 4.108
angles (deg): 90.00 90.00 90.00
Sites, in units of the cell vectors:
Si (0.000, 0.000, 0.500)
Si (0.000, 0.500, 0.000)
Si (0.500, 0.000, 0.000)
B (0.000, 0.000, 0.000)
Pd (0.500, 0.500, 0.500)

Principal peaks in the range 15° ≤ 2θ ≤ 90°, low angle first:
21.63 deg, I = 44; 30.78 deg, I = 59; 37.94 deg, I = 100; 44.09 deg, I = 56; 64.12 deg, I = 36; 76.99 deg, I = 37

Entry 5:
For ReRuO4, the GGA-PBE geometry in Alexandria gives the computed XRD peak list in this record (Cu Kα X-rays).
Neutral-atom scattering factors, no anomalous dispersion.

a b c (Å): 5.608 4.829 5.617
angles (deg): 90.00 119.69 90.00
Sites, in units of the cell vectors:
Re (0.000, 0.000, 0.000)
Re (0.000, 0.500, 0.500)
Ru (0.500, 0.000, 0.500)
Ru (0.500, 0.500, 0.000)
O (0.136, 0.221, 0.344)
O (0.136, 0.279, 0.844)
O (0.342, 0.709, 0.634)
O (0.342, 0.791, 0.134)
O (0.658, 0.209, 0.866)
O (0.658, 0.291, 0.366)
O (0.864, 0.721, 0.156)
O (0.864, 0.779, 0.656)

Principal peaks in the range 15° ≤ 2θ ≤ 90°, low angle first:
26.03 deg, I = 100; 36.89 deg, I = 65; 37.05 deg, I = 14; 53.30 deg, I = 27; 53.41 deg, I = 28; 53.54 deg, I = 16

Entry 6:
For AcPm4S7, the GGA-PBE geometry in Alexandria gives the computed XRD peak list in this record (Cu Kα X-rays).
Neutral-atom scattering factors, no anomalous dispersion.

a b c (Å): 7.053 7.053 12.029
angles (deg): 104.16 104.16 32.68
Sites, in units of the cell vectors:
Ac (0.000, 0.000, 0.000)
Pm (0.113, 0.113, 0.422)
Pm (0.223, 0.223, 0.831)
Pm (0.411, 0.411, 0.604)
Pm (0.813, 0.813, 0.238)
S (0.065, 0.065, 0.632)
S (0.160, 0.160, 0.212)
S (0.360, 0.360, 0.068)
S (0.455, 0.455, 0.369)
S (0.615, 0.615, 0.909)
S (0.771, 0.771, 0.470)
S (0.849, 0.849, 0.763)

Principal peaks in the range 15° ≤ 2θ ≤ 90°, low angle first:
22.90 deg, I = 84; 23.48 deg, I = 100; 25.20 deg, I = 36; 26.35 deg, I = 37; 30.09 deg, I = 38; 31.71 deg, I = 62

Entry 7:
For Sc4NiRh, the GGA-PBE geometry in Alexandria gives the computed XRD peak list in this record (Cu Kα X-rays).
Neutral-atom scattering factors, no anomalous dispersion.

a b c (Å): 7.340 7.340 5.683
angles (deg): 107.39 107.39 111.38
Sites, in units of the cell vectors:
Sc (0.050, 0.695, 0.901)
Sc (0.239, 0.364, 0.726)
Sc (0.305, 0.950, 0.599)
Sc (0.364, 0.239, 0.226)
Sc (0.636, 0.761, 0.774)
Sc (0.695, 0.050, 0.401)
Sc (0.761, 0.636, 0.274)
Sc (0.950, 0.305, 0.099)
Ni (0.000, 0.000, 0.250)
Ni (0.000, 0.000, 0.750)
Rh (0.360, 0.640, 0.250)
Rh (0.640, 0.360, 0.750)

Principal peaks in the range 15° ≤ 2θ ≤ 90°, low angle first:
17.47 deg, I = 90; 25.42 deg, I = 66; 33.36 deg, I = 100; 34.97 deg, I = 77; 39.39 deg, I = 81; 44.79 deg, I = 84